1.
The following is a simulated PXRD pattern of Pm3Y8Ho. It was derived from a cell relaxed with GGA-PBE, using a wavelength of 1.5418 Å.
Kinematic intensities with the Lorentz-polarization factor, no thermal factor.

Peak list (8 most intense, 2θ = 15–90°, sorted by position)
| d [Å] | I_rel | index |
| --- | --- | --- |
| 4.037 | 39.3 | 1 1 2 |
| 2.886 | 38.9 | 0 0 4 |
| 2.838 | 100.0 | 1 3 2 |
| 2.823 | 38.1 | 0 4 0 |
| 2.536 | 28.8 | 2 2 2 |
| 2.018 | 28.9 | 0 4 4 |
| 1.790 | 25.2 | 3 3 2 |
| 1.419 | 25.8 | 4 0 4 |

Structural model:
a b c (Å): 6.5249 11.2840 11.5450
angles (deg): 90.00 90.00 90.00
Space group Immm (No. 71)
Asymmetric unit:
Pm: 0.0000 0.0000 0.0000 (multiplicity 2)
Pm: 0.0000 0.5000 0.2467 (multiplicity 4)
Y: 0.0000 0.1672 0.2504 (multiplicity 8)
Y: 0.2476 0.2553 0.0000 (multiplicity 8)
Ho: 0.0000 0.0000 0.5000 (multiplicity 2)

=====

2.
The following is a simulated PXRD pattern of Pr3ReO8. It was derived from a cell relaxed with GGA-PBE, using a wavelength of 1.5418 Å.
Kinematic intensities with the Lorentz-polarization factor, no thermal factor.

Peak list (8 most intense, 2θ = 15–90°, sorted by position)
| d [Å] | I_rel | index |
| --- | --- | --- |
| 3.739 | 11.9 | 1 0 -4 |
| 3.208 | 21.2 | 1 1 -4 |
| 3.119 | 45.6 | 0 2 0 |
| 3.079 | 100.0 | 2 1 0 |
| 2.205 | 12.7 | 2 2 -4 |
| 2.151 | 13.7 | 2 0 4 |
| 1.793 | 16.7 | 0 3 4 |
| 1.770 | 16.5 | 2 2 4 |

Structural model:
a b c (Å): 7.5658 6.2423 15.1428
angles (deg): 90.00 110.74 90.00
Space group P2_1/c (No. 14)
Asymmetric unit:
Pr: 0.0972 0.2367 0.2008 (multiplicity 4)
Pr: 0.1610 0.2014 0.4464 (multiplicity 4)
Pr: 0.3962 0.6877 0.3334 (multiplicity 4)
Re: 0.3208 0.7454 0.0910 (multiplicity 4)
O: 0.0950 0.7000 0.9843 (multiplicity 4)
O: 0.1463 0.0307 0.8392 (multiplicity 4)
O: 0.1719 0.6537 0.1679 (multiplicity 4)
O: 0.1825 0.5306 0.8269 (multiplicity 4)
O: 0.2531 0.0399 0.0962 (multiplicity 4)
O: 0.3763 0.0470 0.5893 (multiplicity 4)
O: 0.4715 0.6983 0.5222 (multiplicity 4)
O: 0.4744 0.2064 0.7913 (multiplicity 4)

=====

3.
The following is a simulated PXRD pattern of TbPr3Bi3. It was derived from a cell relaxed with GGA-PBE, using a wavelength of 1.5418 Å.
Kinematic intensities with the Lorentz-polarization factor, no thermal factor.

Peak list (8 most intense, 2θ = 15–90°, sorted by position)
| d [Å] | I_rel | index |
| --- | --- | --- |
| 3.063 | 100.0 | 3 0 1 |
| 2.589 | 64.6 | 3 1 2 |
| 2.166 | 19.8 | 4 2 0 |
| 2.065 | 13.9 | 3 3 2 |
| 1.900 | 20.1 | 4 3 1 |
| 1.571 | 30.6 | 6 1 1 |
| 1.495 | 14.6 | 5 4 1 |
| 1.318 | 20.1 | 7 2 1 |

Structural model:
a b c (Å): 9.6873 9.6873 9.6873
angles (deg): 90.00 90.00 90.00
Space group P2_13 (No. 198)
Asymmetric unit:
Tb: 0.0731 0.4269 0.5731 (multiplicity 4)
Pr: 0.0672 0.5672 0.9328 (multiplicity 4)
Pr: 0.1764 0.1764 0.1764 (multiplicity 4)
Pr: 0.1786 0.8214 0.3214 (multiplicity 4)
Bi: 0.0021 0.7436 0.6285 (multiplicity 12)

=====

4.
The following is a simulated PXRD pattern of Tl2Au2I5. It was derived from a cell relaxed with GGA-PBE, using a wavelength of 1.5418 Å.
Kinematic intensities with the Lorentz-polarization factor, no thermal factor.

Peak list (8 most intense, 2θ = 15–90°, sorted by position)
| d [Å] | I_rel | index |
| --- | --- | --- |
| 4.314 | 68.9 | 0 2 0 |
| 4.069 | 51.9 | 0 0 2 |
| 3.832 | 84.5 | 4 1 1 |
| 2.960 | 100.0 | 0 2 2 |
| 2.917 | 93.7 | 6 1 1 |
| 2.840 | 80.0 | 2 2 2 |
| 2.644 | 46.8 | 3 3 0 |
| 2.048 | 64.6 | 6 1 3 |

Structural model:
a b c (Å): 20.1094 8.6285 8.1381
angles (deg): 90.00 90.00 90.00
Space group Ima2 (No. 46)
Asymmetric unit:
Tl: 0.1018 0.0428 0.0000 (multiplicity 8)
Au: 0.0000 0.0000 0.5221 (multiplicity 4)
Au: 0.2500 0.5197 0.8644 (multiplicity 4)
I: 0.0182 0.7428 0.7667 (multiplicity 8)
I: 0.1421 0.0625 0.5509 (multiplicity 8)
I: 0.2500 0.6206 0.5545 (multiplicity 4)

=====

5.
The following is a simulated PXRD pattern of LaPrTlAg. It was derived from a cell relaxed with GGA-PBE, using a wavelength of 1.5418 Å.
Kinematic intensities with the Lorentz-polarization factor, no thermal factor.

Peak list (8 most intense, 2θ = 15–90°, sorted by position)
| d [Å] | I_rel | index |
| --- | --- | --- |
| 2.773 | 100.0 | 1 0 2 |
| 2.689 | 46.7 | 1 1 0 |
| 2.025 | 9.7 | 0 0 4 |
| 1.902 | 16.9 | 2 0 0 |
| 1.618 | 19.0 | 1 1 4 |
| 1.568 | 35.6 | 2 1 2 |
| 1.386 | 11.3 | 2 0 4 |
| 1.203 | 8.1 | 3 1 0 |

Structural model:
a b c (Å): 3.8034 3.8034 8.1017
angles (deg): 90.00 90.00 90.00
Space group P4mm (No. 99)
Asymmetric unit:
La: 0.0000 0.0000 0.0000 (multiplicity 1)
Pr: 0.0000 0.0000 0.5256 (multiplicity 1)
Tl: 0.5000 0.5000 0.2657 (multiplicity 1)
Ag: 0.5000 0.5000 0.7549 (multiplicity 1)

=====

6.
The following is a simulated PXRD pattern of La4Dy5Th4. It was derived from a cell relaxed with GGA-PBE, using a wavelength of 1.5418 Å.
Kinematic intensities with the Lorentz-polarization factor, no thermal factor.

Peak list (8 most intense, 2θ = 15–90°, sorted by position)
| d [Å] | I_rel | index |
| --- | --- | --- |
| 2.949 | 100.0 | 2 3 1 |
| 2.557 | 33.9 | 5 1 0 |
| 2.549 | 16.8 | 0 0 2 |
| 1.806 | 36.3 | 5 1 2 |
| 1.542 | 28.6 | 7 4 1 |
| 1.538 | 14.7 | 2 3 3 |
| 1.475 | 12.4 | 4 6 2 |
| 1.171 | 11.8 | 7 4 3 |

Structural model:
a b c (Å): 13.0391 13.0391 5.0973
angles (deg): 90.00 90.00 90.00
Space group I4/m (No. 87)
Asymmetric unit:
La: 0.1531 0.2345 0.0000 (multiplicity 8)
Dy: 0.0000 0.0000 0.0000 (multiplicity 2)
Dy: 0.0360 0.8042 0.5000 (multiplicity 8)
Th: 0.0749 0.6106 0.0000 (multiplicity 8)

=====

7.
The following is a simulated PXRD pattern of TbNd14Er. It was derived from a cell relaxed with GGA-PBE, using a wavelength of 1.5418 Å.
Kinematic intensities with the Lorentz-polarization factor, no thermal factor.

Peak list (8 most intense, 2θ = 15–90°, sorted by position)
| d [Å] | I_rel | index |
| --- | --- | --- |
| 2.990 | 100.0 | 2 0 2 |
| 2.589 | 50.7 | 2 2 0 |
| 1.831 | 36.3 | 4 0 0 |
| 1.561 | 43.3 | 4 2 2 |
| 1.495 | 12.5 | 4 0 4 |
| 1.295 | 5.8 | 4 4 0 |
| 1.188 | 17.6 | 6 0 2 |
| 1.158 | 16.4 | 6 2 0 |

Structural model:
a b c (Å): 7.3236 7.3236 10.3580
angles (deg): 90.00 90.00 90.00
Space group P4/mmm (No. 123)
Asymmetric unit:
Tb: 0.0000 0.0000 0.0000 (multiplicity 1)
Nd: 0.0000 0.0000 0.5000 (multiplicity 1)
Nd: 0.0000 0.5000 0.0000 (multiplicity 2)
Nd: 0.0000 0.5000 0.5000 (multiplicity 2)
Nd: 0.2504 0.2504 0.2478 (multiplicity 8)
Nd: 0.5000 0.5000 0.5000 (multiplicity 1)
Er: 0.5000 0.5000 0.0000 (multiplicity 1)